Entry 1:
Theoretical XRD peak list
Compound: YFeNi
Radiation: Cu Kα (weighted mean of Kα1 and Kα2)
Structure: DFT lattice parameters and positions (GGA-PBE)
Intensities are scaled so that the largest is 100.

Top 6 peaks for 2θ = 10–90°, low angle first:
two_theta	d_spacing	I/Imax
34.8	2.575	52
40.5	2.226	34
41.0	2.203	100
42.2	2.142	54
44.0	2.058	27
73.6	1.287	29

Crystal structure
```
data_YFeNi
_chemical_formula_sum 'Y4 Fe4 Ni4'
_cell_length_a 4.958
_cell_length_b 5.210
_cell_length_c 7.386
_cell_angle_alpha 90.00
_cell_angle_beta 90.00
_cell_angle_gamma 90.00
_space_group_name_H-M_alt 'I m m a'
_space_group_IT_number 74
_space_group_name_Hall '-I 2b 2'
loop_
_atom_site_label
_atom_site_type_symbol
_atom_site_fract_x
_atom_site_fract_y
_atom_site_fract_z
Y1 Y 0.000 0.250 0.121
Fe1 Fe 0.250 0.250 0.750
Ni1 Ni 0.000 0.000 0.500
```

=====

Entry 2:
Theoretical XRD peak list
Compound: K2S2NO6
Radiation: Cu Kα (weighted mean of Kα1 and Kα2)
Structure: DFT lattice parameters and positions (GGA-PBE)
Intensities are scaled so that the largest is 100.

Top 6 peaks for 2θ = 10–90°, low angle first:
two_theta	d_spacing	I/Imax
23.3	3.810	45
26.3	3.385	96
27.7	3.226	72
28.1	3.176	76
28.3	3.150	100
29.8	3.003	51

Crystal structure
```
data_K2S2NO6
_chemical_formula_sum 'K8 S8 N4 O24'
_cell_length_a 12.709
_cell_length_b 7.620
_cell_length_c 7.372
_cell_angle_alpha 90.00
_cell_angle_beta 91.56
_cell_angle_gamma 90.00
_space_group_name_H-M_alt 'C 1 2/c 1'
_space_group_IT_number 15
loop_
_space_group_symop_operation_xyz
'x,y,z'
'-x,-y,-z'
'-x,y,-z+1/2'
'x,-y,z+1/2'
'x+1/2,y+1/2,z'
'-x+1/2,-y+1/2,-z'
'-x+1/2,y+1/2,-z+1/2'
'x+1/2,-y+1/2,z+1/2'
loop_
_atom_site_label
_atom_site_type_symbol
_atom_site_fract_x
_atom_site_fract_y
_atom_site_fract_z
K1 K 0.151 0.146 0.355
S1 S 0.100 0.321 0.858
N1 N 0.000 0.424 0.750
O1 O 0.056 0.227 0.013
O2 O 0.147 0.200 0.726
O3 O 0.171 0.465 0.909
```

=====

Entry 3:
Theoretical XRD peak list
Compound: Er2TeS2
Radiation: Cu Kα (weighted mean of Kα1 and Kα2)
Structure: DFT lattice parameters and positions (GGA-PBE)
Intensities are scaled so that the largest is 100.

Top 6 peaks for 2θ = 10–90°, low angle first:
two_theta	d_spacing	I/Imax
17.9	4.949	93
29.4	3.037	100
30.4	2.939	39
33.7	2.663	37
38.5	2.339	36
45.3	2.002	61

Crystal structure
```
data_Er2TeS2
_chemical_formula_sum 'Er4 Te2 S4'
_cell_length_a 4.147
_cell_length_b 5.326
_cell_length_c 13.378
_cell_angle_alpha 90.00
_cell_angle_beta 90.00
_cell_angle_gamma 90.00
_space_group_name_H-M_alt 'I m m m'
_space_group_IT_number 71
_space_group_name_Hall '-I 2 2'
loop_
_atom_site_label
_atom_site_type_symbol
_atom_site_fract_x
_atom_site_fract_y
_atom_site_fract_z
Er1 Er 0.000 0.000 0.167
Te1 Te 0.000 0.500 0.500
S1 S 0.000 0.500 0.203
```

=====

Entry 4:
Theoretical XRD peak list
Compound: MgCu2Rh4S8
Radiation: Cu Kα (weighted mean of Kα1 and Kα2)
Structure: DFT lattice parameters and positions (GGA-PBE)
Intensities are scaled so that the largest is 100.

Top 6 peaks for 2θ = 10–90°, low angle first:
two_theta	d_spacing	I/Imax
14.9	5.944	52
28.6	3.116	78
29.1	3.065	77
29.3	3.047	50
34.9	2.568	68
50.9	1.795	100

Crystal structure
```
data_MgCu2Rh4S8
_chemical_formula_sum 'Mg2 Cu4 Rh8 S16'
_cell_length_a 7.154
_cell_length_b 7.375
_cell_length_c 10.039
_cell_angle_alpha 90.00
_cell_angle_beta 90.00
_cell_angle_gamma 90.00
_space_group_name_H-M_alt 'I m m 2'
_space_group_IT_number 44
loop_
_space_group_symop_operation_xyz
'x,y,z'
'-x,-y,z'
'-x,y,z'
'x,-y,z'
'x+1/2,y+1/2,z+1/2'
'-x+1/2,-y+1/2,z+1/2'
'-x+1/2,y+1/2,z+1/2'
'x+1/2,-y+1/2,z+1/2'
loop_
_atom_site_label
_atom_site_type_symbol
_atom_site_fract_x
_atom_site_fract_y
_atom_site_fract_z
Mg1 Mg 0.000 0.000 0.000
Cu1 Cu 0.000 0.000 0.257
Cu2 Cu 0.000 0.500 0.458
Rh1 Rh 0.000 0.259 0.824
Rh2 Rh 0.243 0.000 0.577
S1 S 0.000 0.224 0.587
S2 S 0.000 0.296 0.078
S3 S 0.217 0.500 0.842
S4 S 0.231 0.000 0.819
```

=====

Entry 5:
Theoretical XRD peak list
Compound: Ce2Si3Rh
Radiation: Cu Kα (weighted mean of Kα1 and Kα2)
Structure: DFT lattice parameters and positions (GGA-PBE)
Intensities are scaled so that the largest is 100.

Top 6 peaks for 2θ = 10–90°, low angle first:
two_theta	d_spacing	I/Imax
25.0	3.560	26
33.4	2.686	100
44.0	2.056	38
56.4	1.633	22
64.2	1.450	21
74.2	1.279	19

Crystal structure
```
data_Ce2Si3Rh
_chemical_formula_sum 'Ce8 Si12 Rh4'
_cell_length_a 8.2238
_cell_length_b 8.2238
_cell_length_c 8.1840
_cell_angle_alpha 90.00
_cell_angle_beta 90.00
_cell_angle_gamma 120.00
_space_group_name_H-M_alt 'P 63/m m c'
_space_group_IT_number 194
_space_group_name_Hall '-P 6c 2c'
loop_
_atom_site_label
_atom_site_type_symbol
_atom_site_fract_x
_atom_site_fract_y
_atom_site_fract_z
Ce1 Ce 0.0000 0.0000 0.2500
Ce2 Ce 0.0089 0.5044 0.2500
Si1 Si 0.1655 0.3310 0.0008
Rh1 Rh 0.3333 0.6667 0.5252
```

=====

Entry 6:
Theoretical XRD peak list
Compound: LuSiPt2
Radiation: Cu Kα (weighted mean of Kα1 and Kα2)
Structure: DFT lattice parameters and positions (GGA-PBE)
Intensities are scaled so that the largest is 100.

Top 6 peaks for 2θ = 10–90°, low angle first:
two_theta	d_spacing	I/Imax
32.9	2.722	75
35.0	2.562	84
35.8	2.509	100
37.4	2.404	70
40.8	2.209	88
65.4	1.428	64

Crystal structure
```
data_LuSiPt2
_chemical_formula_sum 'Lu4 Si4 Pt8'
_cell_length_a 7.243
_cell_length_b 6.959
_cell_length_c 5.478
_cell_angle_alpha 90.00
_cell_angle_beta 90.00
_cell_angle_gamma 90.00
_space_group_name_H-M_alt 'P n m a'
_space_group_IT_number 62
loop_
_space_group_symop_operation_xyz
'x,y,z'
'-x,-y,-z'
'-x+1/2,-y,z+1/2'
'x+1/2,y,-z+1/2'
'x+1/2,-y+1/2,-z+1/2'
'-x+1/2,y+1/2,z+1/2'
'-x,y+1/2,-z'
'x,-y+1/2,z'
loop_
_atom_site_label
_atom_site_type_symbol
_atom_site_fract_x
_atom_site_fract_y
_atom_site_fract_z
Lu1 Lu 0.028 0.250 0.140
Si1 Si 0.119 0.750 0.361
Pt1 Pt 0.182 0.050 0.592
```

=====

Entry 7:
Theoretical XRD peak list
Compound: BPO4
Radiation: Cu Kα (weighted mean of Kα1 and Kα2)
Structure: DFT lattice parameters and positions (GGA-PBE)
Intensities are scaled so that the largest is 100.

Top 6 peaks for 2θ = 10–90°, low angle first:
two_theta	d_spacing	I/Imax
24.0	3.704	100
39.3	2.293	32
47.7	1.905	12
62.5	1.485	12
70.3	1.339	6
79.0	1.212	6

Crystal structure
```
data_BPO4
_chemical_formula_sum 'B2 P2 O8'
_cell_length_a 4.442
_cell_length_b 4.442
_cell_length_c 6.710
_cell_angle_alpha 90.00
_cell_angle_beta 90.00
_cell_angle_gamma 90.00
_space_group_name_H-M_alt 'I -4'
_space_group_IT_number 82
loop_
_space_group_symop_operation_xyz
'x,y,z'
'y,-x,-z'
'-x,-y,z'
'-y,x,-z'
'x+1/2,y+1/2,z+1/2'
'y+1/2,-x+1/2,-z+1/2'
'-x+1/2,-y+1/2,z+1/2'
'-y+1/2,x+1/2,-z+1/2'
loop_
_atom_site_label
_atom_site_type_symbol
_atom_site_fract_x
_atom_site_fract_y
_atom_site_fract_z
B1 B 0.000 0.000 0.000
P1 P 0.000 0.500 0.250
O1 O 0.130 0.242 0.123
```

=====

Entry 8:
Theoretical XRD peak list
Compound: Ba2Re6S11
Radiation: Cu Kα (weighted mean of Kα1 and Kα2)
Structure: DFT lattice parameters and positions (GGA-PBE)
Intensities are scaled so that the largest is 100.

Top 6 peaks for 2θ = 10–90°, low angle first:
two_theta	d_spacing	I/Imax
12.3	7.221	100
15.5	5.710	56
19.0	4.660	23
29.8	2.998	26
40.7	2.219	38
46.5	1.955	27

Crystal structure
```
data_Ba2Re6S11
_chemical_formula_sum 'Ba12 Re36 S66'
_cell_length_a 9.3206
_cell_length_b 9.3206
_cell_length_c 32.3194
_cell_angle_alpha 90.00
_cell_angle_beta 90.00
_cell_angle_gamma 120.00
_space_group_name_H-M_alt 'R -3 c'
_space_group_IT_number 167
_space_group_name_Hall '-R 3 2"c'
loop_
_atom_site_label
_atom_site_type_symbol
_atom_site_fract_x
_atom_site_fract_y
_atom_site_fract_z
Ba1 Ba 0.0000 0.0000 0.1886
Re1 Re 0.0227 0.1734 0.4662
S1 S 0.0000 0.0000 0.0908
S2 S 0.0000 0.2678 0.7500
S3 S 0.0136 0.3895 0.1969
```

=====

Entry 9:
Theoretical XRD peak list
Compound: HoTmPd2
Radiation: Cu Kα (weighted mean of Kα1 and Kα2)
Structure: DFT lattice parameters and positions (GGA-PBE)
Intensities are scaled so that the largest is 100.

Top 6 peaks for 2θ = 10–90°, low angle first:
two_theta	d_spacing	I/Imax
25.6	3.478	5
36.5	2.459	100
52.6	1.739	18
65.8	1.420	36
77.7	1.230	11
89.0	1.100	16

Crystal structure
```
data_HoTmPd2
_chemical_formula_sum 'Ho4 Tm4 Pd8'
_cell_length_a 6.956
_cell_length_b 6.956
_cell_length_c 6.956
_cell_angle_alpha 90.00
_cell_angle_beta 90.00
_cell_angle_gamma 90.00
_space_group_name_H-M_alt 'F m -3 m'
_space_group_IT_number 225
_space_group_name_Hall '-F 4 2 3'
loop_
_atom_site_label
_atom_site_type_symbol
_atom_site_fract_x
_atom_site_fract_y
_atom_site_fract_z
Ho1 Ho 0.000 0.000 0.000
Tm1 Tm 0.000 0.000 0.500
Pd1 Pd 0.250 0.250 0.250
```

=====

Entry 10:
Theoretical XRD peak list
Compound: MgTi2O4
Radiation: Cu Kα (weighted mean of Kα1 and Kα2)
Structure: DFT lattice parameters and positions (GGA-PBE)
Intensities are scaled so that the largest is 100.

Top 6 peaks for 2θ = 10–90°, low angle first:
two_theta	d_spacing	I/Imax
12.0	7.399	84
15.3	5.773	90
28.9	3.094	84
31.0	2.886	80
35.8	2.511	100
49.8	1.832	69

Crystal structure
```
data_MgTi2O4
_chemical_formula_sum 'Mg4 Ti8 O16'
_cell_length_a 14.990
_cell_length_b 2.912
_cell_length_c 9.634
_cell_angle_alpha 90.00
_cell_angle_beta 129.63
_cell_angle_gamma 90.00
_space_group_name_H-M_alt 'C 1 2/m 1'
_space_group_IT_number 12
loop_
_space_group_symop_operation_xyz
'x,y,z'
'-x,-y,-z'
'-x,y,-z'
'x,-y,z'
'x+1/2,y+1/2,z'
'-x+1/2,-y+1/2,-z'
'-x+1/2,y+1/2,-z'
'x+1/2,-y+1/2,z'
loop_
_atom_site_label
_atom_site_type_symbol
_atom_site_fract_x
_atom_site_fract_y
_atom_site_fract_z
Mg1 Mg 0.164 0.000 0.180
Ti1 Ti 0.130 0.000 0.449
Ti2 Ti 0.149 0.500 0.819
O1 O 0.033 0.000 0.732
O2 O 0.152 0.500 0.613
O3 O 0.167 0.500 0.338
O4 O 0.211 0.500 0.077
```

=====

Entry 11:
Theoretical XRD peak list
Compound: Ba2Bi6O11
Radiation: Cu Kα (weighted mean of Kα1 and Kα2)
Structure: DFT lattice parameters and positions (GGA-PBE)
Intensities are scaled so that the largest is 100.

Top 6 peaks for 2θ = 10–90°, low angle first:
two_theta	d_spacing	I/Imax
26.8	3.326	60
28.0	3.183	100
28.6	3.117	97
30.2	2.963	52
40.2	2.242	29
49.0	1.859	27

Crystal structure
```
data_Ba2Bi6O11
_chemical_formula_sum 'Ba4 Bi12 O22'
_cell_length_a 6.657
_cell_length_b 4.485
_cell_length_c 23.723
_cell_angle_alpha 90.00
_cell_angle_beta 92.37
_cell_angle_gamma 90.00
_space_group_name_H-M_alt 'C 1 2/m 1'
_space_group_IT_number 12
loop_
_space_group_symop_operation_xyz
'x,y,z'
'-x,-y,-z'
'-x,y,-z'
'x,-y,z'
'x+1/2,y+1/2,z'
'-x+1/2,-y+1/2,-z'
'-x+1/2,y+1/2,-z'
'x+1/2,-y+1/2,z'
loop_
_atom_site_label
_atom_site_type_symbol
_atom_site_fract_x
_atom_site_fract_y
_atom_site_fract_z
Ba1 Ba 0.202 0.000 0.064
Bi1 Bi 0.218 0.000 0.321
Bi2 Bi 0.236 0.000 0.814
Bi3 Bi 0.236 0.500 0.437
O1 O 0.000 0.500 0.500
O2 O 0.061 0.000 0.736
O3 O 0.118 0.500 0.348
O4 O 0.132 0.500 0.830
O5 O 0.147 0.000 0.412
O6 O 0.162 0.000 0.923
```

=====

Entry 12:
Theoretical XRD peak list
Compound: Tc3Sn
Radiation: Cu Kα (weighted mean of Kα1 and Kα2)
Structure: DFT lattice parameters and positions (GGA-PBE)
Intensities are scaled so that the largest is 100.

Top 6 peaks for 2θ = 10–90°, low angle first:
two_theta	d_spacing	I/Imax
35.2	2.547	26
41.1	2.194	100
41.9	2.158	20
63.2	1.471	19
78.3	1.222	15
78.7	1.215	19

Crystal structure
```
data_Tc3Sn
_chemical_formula_sum 'Tc3 Sn1'
_cell_length_a 2.9416
_cell_length_b 2.9416
_cell_length_c 8.6334
_cell_angle_alpha 90.00
_cell_angle_beta 90.00
_cell_angle_gamma 120.00
_space_group_name_H-M_alt 'P -6 m 2'
_space_group_IT_number 187
_space_group_name_Hall 'P -6 2'
loop_
_atom_site_label
_atom_site_type_symbol
_atom_site_fract_x
_atom_site_fract_y
_atom_site_fract_z
Tc1 Tc 0.0000 0.0000 0.0000
Tc2 Tc 0.3333 0.6667 0.2382
Sn1 Sn 0.0000 0.0000 0.5000
```